Theoretical X-ray powder pattern of Pr4Y4Tm for CuKα, from a structure optimized by DFT (GGA-PBE).

Principal peaks in the range 2θ = 15–90°, sorted by position:
30.18°, I = 100; 34.87°, I = 34; 35.21°, I = 17; 50.15°, I = 12; 50.35°, I = 18; 59.58°, I = 7; 59.62°, I = 14; 59.78°, I = 7; 60.02°, I = 7; 60.18°, I = 7

Structure:
```
data_Pr4Y4Tm
_cell_length_a 11.3975
_cell_length_b 5.1500
_cell_length_c 10.8839
_cell_angle_alpha 90.00
_cell_angle_beta 108.08
_cell_angle_gamma 90.00
_space_group_name_H-M_alt 'C 1 2/m 1'
_space_group_IT_number 12
_space_group_name_Hall '-C 2y'
loop_
_atom_site_label
_atom_site_type_symbol
_atom_site_fract_x
_atom_site_fract_y
_atom_site_fract_z
_atom_site_occupancy
Pr1 Pr 0.0000 0.0000 0.1683 1
Pr2 Pr 0.1670 0.5000 0.3897 1
Y1 Y 0.1658 0.5000 0.0543 1
Y2 Y 0.1671 0.5000 0.7229 1
Tm1 Tm 0.0000 0.0000 0.5000 1
```

***

Theoretical X-ray powder pattern of K2IrF7 for CuKα, from a structure optimized by DFT (GGA-PBE).

Principal peaks in the range 2θ = 15–90°, sorted by position:
16.53°, I = 100; 17.37°, I = 49; 17.74°, I = 36; 23.42°, I = 23; 23.65°, I = 43; 24.71°, I = 54; 30.28°, I = 26; 37.05°, I = 20; 41.77°, I = 20; 47.87°, I = 19

Structure:
```
data_K2IrF7
_cell_length_a 13.6359
_cell_length_b 6.3496
_cell_length_c 10.0483
_cell_angle_alpha 90.00
_cell_angle_beta 131.51
_cell_angle_gamma 90.00
_space_group_name_H-M_alt 'C 1 2/c 1'
_space_group_IT_number 15
_space_group_name_Hall '-C 2yc'
loop_
_atom_site_label
_atom_site_type_symbol
_atom_site_fract_x
_atom_site_fract_y
_atom_site_fract_z
_atom_site_occupancy
K1 K 0.1524 0.1636 0.2243 1
Ir1 Ir 0.0000 0.2978 0.7500 1
F1 F 0.0000 0.3927 0.2500 1
F2 F 0.0802 0.0439 0.9031 1
F3 F 0.1083 0.2960 0.6813 1
F4 F 0.1513 0.3904 0.9888 1
```

***

Theoretical X-ray powder pattern of YPb2W for CuKα, from a structure optimized by DFT (GGA-PBE).

Principal peaks in the range 2θ = 15–90°, sorted by position:
16.16°, I = 12; 24.34°, I = 12; 29.82°, I = 13; 32.65°, I = 12; 33.08°, I = 100; 37.95°, I = 12; 38.07°, I = 21; 43.74°, I = 14; 50.96°, I = 14; 65.64°, I = 14

Structure:
```
data_YPb2W
_cell_length_a 4.1394
_cell_length_b 4.7278
_cell_length_c 10.9691
_cell_angle_alpha 90.00
_cell_angle_beta 90.00
_cell_angle_gamma 90.00
_space_group_name_H-M_alt 'C m m 2'
_space_group_IT_number 35
_space_group_name_Hall 'C 2 -2'
loop_
_atom_site_label
_atom_site_type_symbol
_atom_site_fract_x
_atom_site_fract_y
_atom_site_fract_z
_atom_site_occupancy
Y1 Y 0.0000 0.0000 0.0000 1
Pb1 Pb 0.0000 0.0000 0.5886 1
Pb2 Pb 0.0000 0.5000 0.2546 1
W1 W 0.0000 0.5000 0.7973 1
```

***

Theoretical X-ray powder pattern of Rb3NbS4 for CuKα, from a structure optimized by DFT (GGA-PBE).

Principal peaks in the range 2θ = 15–90°, sorted by position:
15.01°, I = 38; 23.95°, I = 84; 24.19°, I = 59; 25.69°, I = 87; 28.20°, I = 40; 30.09°, I = 100; 31.44°, I = 36; 31.78°, I = 34; 36.60°, I = 38; 48.24°, I = 29

Structure:
```
data_Rb3NbS4
_cell_length_a 9.7178
_cell_length_b 11.2614
_cell_length_c 9.8923
_cell_angle_alpha 90.00
_cell_angle_beta 90.00
_cell_angle_gamma 90.00
_space_group_name_H-M_alt 'P n m a'
_space_group_IT_number 62
_space_group_name_Hall '-P 2ac 2n'
loop_
_atom_site_label
_atom_site_type_symbol
_atom_site_fract_x
_atom_site_fract_y
_atom_site_fract_z
_atom_site_occupancy
Rb1 Rb 0.0542 0.0438 0.2113 1
Rb2 Rb 0.1395 0.7500 0.4236 1
Nb1 Nb 0.2182 0.7500 0.9870 1
S1 S 0.0021 0.7500 0.0817 1
S2 S 0.1662 0.0815 0.5505 1
S3 S 0.1975 0.7500 0.7555 1
```

***

Theoretical X-ray powder pattern of Tb12GaCo5 for CuKα, from a structure optimized by DFT (GGA-PBE).

Principal peaks in the range 2θ = 15–90°, sorted by position:
28.98°, I = 26; 29.83°, I = 25; 30.04°, I = 28; 32.52°, I = 100; 34.80°, I = 56; 35.24°, I = 55; 35.56°, I = 53; 38.28°, I = 21; 55.31°, I = 24; 60.38°, I = 30

Structure:
```
data_Tb12GaCo5
_cell_length_a 9.4039
_cell_length_b 9.4386
_cell_length_c 9.7813
_cell_angle_alpha 90.00
_cell_angle_beta 90.00
_cell_angle_gamma 90.00
_space_group_name_H-M_alt 'I m m m'
_space_group_IT_number 71
_space_group_name_Hall '-I 2 2'
loop_
_atom_site_label
_atom_site_type_symbol
_atom_site_fract_x
_atom_site_fract_y
_atom_site_fract_z
_atom_site_occupancy
Tb1 Tb 0.0000 0.1910 0.2115 1
Tb2 Tb 0.1970 0.5000 0.1833 1
Tb3 Tb 0.2076 0.3141 0.5000 1
Ga1 Ga 0.0000 0.0000 0.5000 1
Co1 Co 0.0000 0.0000 0.0000 1
Co2 Co 0.0000 0.3764 0.0000 1
Co3 Co 0.0000 0.5000 0.3865 1
```

***

Theoretical X-ray powder pattern of KTlInPb2 for CuKα, from a structure optimized by DFT (GGA-PBE).

Principal peaks in the range 2θ = 15–90°, sorted by position:
19.06°, I = 40; 19.25°, I = 42; 25.63°, I = 19; 28.52°, I = 78; 35.15°, I = 25; 35.25°, I = 19; 35.42°, I = 100; 36.69°, I = 31; 37.09°, I = 30; 53.16°, I = 21

Structure:
```
data_KTlInPb2
_cell_length_a 4.8478
_cell_length_b 4.8992
_cell_length_c 14.9586
_cell_angle_alpha 90.00
_cell_angle_beta 90.00
_cell_angle_gamma 90.00
_space_group_name_H-M_alt 'I m m 2'
_space_group_IT_number 44
_space_group_name_Hall 'I 2 -2'
loop_
_atom_site_label
_atom_site_type_symbol
_atom_site_fract_x
_atom_site_fract_y
_atom_site_fract_z
_atom_site_occupancy
K1 K 0.0000 0.0000 0.0000 1
Tl1 Tl 0.0000 0.0000 0.6114 1
In1 In 0.0000 0.5000 0.7509 1
Pb1 Pb 0.0000 0.0000 0.3908 1
Pb2 Pb 0.0000 0.5000 0.2548 1
```

***

Theoretical X-ray powder pattern of La10ErTm4 for CuKα, from a structure optimized by DFT (GGA-PBE).

Principal peaks in the range 2θ = 15–90°, sorted by position:
19.56°, I = 50; 32.06°, I = 51; 32.27°, I = 100; 37.83°, I = 19; 38.19°, I = 9; 45.98°, I = 19; 46.59°, I = 9; 57.28°, I = 39; 57.68°, I = 19; 67.53°, I = 12

Structure:
```
data_La10ErTm4
_cell_length_a 12.4845
_cell_length_b 12.4845
_cell_length_c 7.7977
_cell_angle_alpha 90.00
_cell_angle_beta 90.00
_cell_angle_gamma 90.00
_space_group_name_H-M_alt 'I 4/m'
_space_group_IT_number 87
_space_group_name_Hall '-I 4'
loop_
_atom_site_label
_atom_site_type_symbol
_atom_site_fract_x
_atom_site_fract_y
_atom_site_fract_z
_atom_site_occupancy
La1 La 0.0000 0.5000 0.2500 1
La2 La 0.1003 0.1999 0.2492 1
Er1 Er 0.0000 0.0000 0.5000 1
Tm1 Tm 0.1001 0.6995 0.0000 1
```

***

Theoretical X-ray powder pattern of Pm2Al4CoPt3 for CuKα, from a structure optimized by DFT (GGA-PBE).

Principal peaks in the range 2θ = 15–90°, sorted by position:
25.60°, I = 25; 27.20°, I = 60; 29.99°, I = 31; 31.21°, I = 49; 33.39°, I = 79; 34.66°, I = 100; 42.92°, I = 70; 48.67°, I = 42; 55.44°, I = 38; 66.88°, I = 33

Structure:
```
data_Pm2Al4CoPt3
_cell_length_a 4.2142
_cell_length_b 4.2142
_cell_length_c 10.4401
_cell_angle_alpha 90.00
_cell_angle_beta 90.00
_cell_angle_gamma 90.00
_space_group_name_H-M_alt 'P -4 m 2'
_space_group_IT_number 115
_space_group_name_Hall 'P -4 -2'
loop_
_atom_site_label
_atom_site_type_symbol
_atom_site_fract_x
_atom_site_fract_y
_atom_site_fract_z
_atom_site_occupancy
Pm1 Pm 0.0000 0.5000 0.2430 1
Al1 Al 0.0000 0.0000 0.5000 1
Al2 Al 0.0000 0.5000 0.8782 1
Al3 Al 0.5000 0.5000 0.5000 1
Co1 Co 0.5000 0.5000 0.0000 1
Pt1 Pt 0.0000 0.0000 0.0000 1
Pt2 Pt 0.0000 0.5000 0.6365 1
```

***

Theoretical X-ray powder pattern of Tl6SBr4 for CuKα, from a structure optimized by DFT (GGA-PBE).

Principal peaks in the range 2θ = 15–90°, sorted by position:
23.31°, I = 53; 23.67°, I = 76; 29.22°, I = 100; 30.49°, I = 81; 30.78°, I = 38; 32.21°, I = 88; 33.12°, I = 32; 41.19°, I = 26; 45.37°, I = 34; 53.77°, I = 24

Structure:
```
data_Tl6SBr4
_cell_length_a 12.9545
_cell_length_b 12.9545
_cell_length_c 16.2308
_cell_angle_alpha 90.00
_cell_angle_beta 90.00
_cell_angle_gamma 120.00
_space_group_name_H-M_alt 'R -3 c'
_space_group_IT_number 167
_space_group_name_Hall '-R 3 2"c'
loop_
_atom_site_label
_atom_site_type_symbol
_atom_site_fract_x
_atom_site_fract_y
_atom_site_fract_z
_atom_site_occupancy
Tl1 Tl 0.0526 0.2049 0.3952 1
S1 S 0.0000 0.0000 0.0000 1
Br1 Br 0.0000 0.0000 0.2500 1
Br2 Br 0.0000 0.4218 0.2500 1
```

***

Theoretical X-ray powder pattern of LiZr3Tl3Te8 for CuKα, from a structure optimized by DFT (GGA-PBE).

Principal peaks in the range 2θ = 15–90°, sorted by position:
28.65°, I = 100; 30.70°, I = 15; 32.84°, I = 8; 38.47°, I = 36; 43.32°, I = 35; 52.76°, I = 18; 54.85°, I = 8; 55.41°, I = 11; 63.68°, I = 11; 70.55°, I = 10

Structure:
```
data_LiZr3Tl3Te8
_cell_length_a 14.4559
_cell_length_b 8.3618
_cell_length_c 9.4918
_cell_angle_alpha 90.00
_cell_angle_beta 120.46
_cell_angle_gamma 90.00
_space_group_name_H-M_alt 'C 1 2/m 1'
_space_group_IT_number 12
_space_group_name_Hall '-C 2y'
loop_
_atom_site_label
_atom_site_type_symbol
_atom_site_fract_x
_atom_site_fract_y
_atom_site_fract_z
_atom_site_occupancy
Li1 Li 0.0000 0.0000 0.0000 1
Zr1 Zr 0.0000 0.5000 0.0000 1
Zr2 Zr 0.2500 0.2500 0.0000 1
Tl1 Tl 0.0000 0.0000 0.5000 1
Tl2 Tl 0.2500 0.2500 0.5000 1
Te1 Te 0.0173 0.2558 0.7961 1
Te2 Te 0.2368 0.5000 0.2103 1
Te3 Te 0.2383 0.0000 0.2038 1
```

***

Theoretical X-ray powder pattern of Nd4P3Rh12Pb for CuKα, from a structure optimized by DFT (GGA-PBE).

Principal peaks in the range 2θ = 15–90°, sorted by position:
27.40°, I = 24; 30.71°, I = 9; 33.72°, I = 100; 36.51°, I = 12; 39.13°, I = 95; 48.43°, I = 9; 56.54°, I = 62; 67.47°, I = 36; 70.91°, I = 20; 84.10°, I = 10

Structure:
```
data_Nd4P3Rh12Pb
_cell_length_a 9.2079
_cell_length_b 9.2079
_cell_length_c 9.2079
_cell_angle_alpha 90.00
_cell_angle_beta 90.00
_cell_angle_gamma 90.00
_space_group_name_H-M_alt 'I m -3 m'
_space_group_IT_number 229
_space_group_name_Hall '-I 4 2 3'
loop_
_atom_site_label
_atom_site_type_symbol
_atom_site_fract_x
_atom_site_fract_y
_atom_site_fract_z
_atom_site_occupancy
Nd1 Nd 0.2500 0.2500 0.2500 1
P1 P 0.0000 0.0000 0.5000 1
Rh1 Rh 0.0000 0.0000 0.2719 1
Rh2 Rh 0.0000 0.2500 0.5000 1
Pb1 Pb 0.0000 0.0000 0.0000 1
```

***

Theoretical X-ray powder pattern of Tb6SmTl6 for CuKα, from a structure optimized by DFT (GGA-PBE).

Principal peaks in the range 2θ = 15–90°, sorted by position:
27.64°, I = 22; 29.89°, I = 18; 32.02°, I = 55; 32.47°, I = 62; 33.79°, I = 29; 36.33°, I = 100; 37.53°, I = 22; 57.07°, I = 32; 59.62°, I = 24; 68.00°, I = 23

Structure:
```
data_Tb6SmTl6
_cell_length_a 6.4549
_cell_length_b 6.4549
_cell_length_c 10.6105
_cell_angle_alpha 90.00
_cell_angle_beta 90.00
_cell_angle_gamma 120.00
_space_group_name_H-M_alt 'P 6/m m m'
_space_group_IT_number 191
_space_group_name_Hall '-P 6 2'
loop_
_atom_site_label
_atom_site_type_symbol
_atom_site_fract_x
_atom_site_fract_y
_atom_site_fract_z
_atom_site_occupancy
Tb1 Tb 0.0000 0.0000 0.1647 1
Tb2 Tb 0.3333 0.6667 0.0000 1
Tb3 Tb 0.3333 0.6667 0.5000 1
Sm1 Sm 0.0000 0.0000 0.5000 1
Tl1 Tl 0.0000 0.5000 0.2538 1
```

***

Repeat the seventh record exactly.
Theoretical X-ray powder pattern of La10ErTm4 for CuKα, from a structure optimized by DFT (GGA-PBE).

Principal peaks in the range 2θ = 15–90°, sorted by position:
19.56°, I = 50; 32.06°, I = 51; 32.27°, I = 100; 37.83°, I = 19; 38.19°, I = 9; 45.98°, I = 19; 46.59°, I = 9; 57.28°, I = 39; 57.68°, I = 19; 67.53°, I = 12

Structure:
```
data_La10ErTm4
_cell_length_a 12.4845
_cell_length_b 12.4845
_cell_length_c 7.7977
_cell_angle_alpha 90.00
_cell_angle_beta 90.00
_cell_angle_gamma 90.00
_space_group_name_H-M_alt 'I 4/m'
_space_group_IT_number 87
_space_group_name_Hall '-I 4'
loop_
_atom_site_label
_atom_site_type_symbol
_atom_site_fract_x
_atom_site_fract_y
_atom_site_fract_z
_atom_site_occupancy
La1 La 0.0000 0.5000 0.2500 1
La2 La 0.1003 0.1999 0.2492 1
Er1 Er 0.0000 0.0000 0.5000 1
Tm1 Tm 0.1001 0.6995 0.0000 1
```